No. 1
Diffraction record for LiPr12Tl6. The powder diffraction line list is computed, not measured: it uses a DFT-relaxed cell (PBE, Alexandria) and copper Kα.
Peak positions follow from Bragg's law for the DFT cell and can differ from measured ones.

Crystal structure
```
data_LiPr12Tl6
_cell_length_a 11.8832
_cell_length_b 11.8832
_cell_length_c 14.6073
_cell_angle_alpha 90.00
_cell_angle_beta 90.00
_cell_angle_gamma 120.00
_symmetry_space_group_name_H-M 'R -3'
_symmetry_Int_Tables_number 148
_symmetry_space_group_name_Hall '-R 3'
loop_
_atom_site_label
_atom_site_type_symbol
_atom_site_fract_x
_atom_site_fract_y
_atom_site_fract_z
Li1 Li 0.0000 0.0000 0.0000
Pr1 Pr 0.0605 0.2176 0.4076
Pr2 Pr 0.0683 0.8808 0.8176
Tl1 Tl 0.0308 0.5884 0.7100
```

Peak list (10 most intense, 2θ from 10° to 80°, by angle)
- 23.63°, I = 23, hkl 2 -1 3
- 25.94°, I = 26, hkl 3 -2 2
- 31.88°, I = 65, hkl 0 3 3
- 31.95°, I = 77, hkl 1 3 1
- 33.69°, I = 100, hkl 3 1 2
- 35.36°, I = 35, hkl 2 0 5
- 54.48°, I = 13, hkl 4 -3 7
- 55.66°, I = 19, hkl 1 4 6
- 55.77°, I = 19, hkl 2 5 0
- 59.19°, I = 20, hkl 7 -5 3

---

No. 2
Diffraction record for LiPr2YTl4. The powder diffraction line list is computed, not measured: it uses a DFT-relaxed cell (PBE, Alexandria) and copper Kα.
Peak positions follow from Bragg's law for the DFT cell and can differ from measured ones.

Crystal structure
```
data_LiPr2YTl4
_cell_length_a 5.3428
_cell_length_b 5.3428
_cell_length_c 27.1711
_cell_angle_alpha 90.00
_cell_angle_beta 90.00
_cell_angle_gamma 120.00
_symmetry_space_group_name_H-M 'R -3 m'
_symmetry_Int_Tables_number 166
_symmetry_space_group_name_Hall '-R 3 2"'
loop_
_atom_site_label
_atom_site_type_symbol
_atom_site_fract_x
_atom_site_fract_y
_atom_site_fract_z
Li1 Li 0.0000 0.0000 0.0000
Pr1 Pr 0.0000 0.0000 0.2560
Y1 Y 0.0000 0.0000 0.5000
Tl1 Tl 0.0000 0.0000 0.1250
Tl2 Tl 0.0000 0.0000 0.3742
```

Peak list (10 most intense, 2θ from 10° to 80°, by angle)
- 23.26°, I = 30, hkl 1 0 4
- 32.71°, I = 100, hkl 0 1 8
- 33.55°, I = 96, hkl 1 1 0
- 47.56°, I = 36, hkl 2 0 8
- 57.84°, I = 19, hkl 1 0 16
- 59.45°, I = 37, hkl 1 2 8
- 59.98°, I = 18, hkl 3 0 0
- 70.50°, I = 11, hkl 2 2 0
- 78.51°, I = 15, hkl 2 1 16
- 79.91°, I = 16, hkl 3 1 8

---

No. 3
Diffraction record for LiPr6Tm. The powder diffraction line list is computed, not measured: it uses a DFT-relaxed cell (PBE, Alexandria) and copper Kα.
Peak positions follow from Bragg's law for the DFT cell and can differ from measured ones.

Crystal structure
```
data_LiPr6Tm
_cell_length_a 5.2518
_cell_length_b 5.2518
_cell_length_c 19.5729
_cell_angle_alpha 90.00
_cell_angle_beta 90.00
_cell_angle_gamma 90.00
_symmetry_space_group_name_H-M 'I 4/m m m'
_symmetry_Int_Tables_number 139
_symmetry_space_group_name_Hall '-I 4 2'
loop_
_atom_site_label
_atom_site_type_symbol
_atom_site_fract_x
_atom_site_fract_y
_atom_site_fract_z
Li1 Li 0.0000 0.0000 0.0000
Pr1 Pr 0.0000 0.0000 0.2511
Pr2 Pr 0.0000 0.5000 0.1179
Tm1 Tm 0.0000 0.0000 0.5000
```

Peak list (10 most intense, 2θ from 10° to 80°, by angle)
- 17.48°, I = 10, hkl 1 0 1
- 30.21°, I = 100, hkl 1 1 4
- 34.15°, I = 37, hkl 2 0 0
- 36.73°, I = 14, hkl 0 0 8
- 49.06°, I = 13, hkl 2 2 0
- 51.02°, I = 22, hkl 2 0 8
- 58.71°, I = 30, hkl 3 1 4
- 62.16°, I = 11, hkl 1 1 12
- 62.83°, I = 12, hkl 2 2 8
- 79.94°, I = 6, hkl 3 3 4

---

No. 4
Diffraction record for LiPr6Zn. The powder diffraction line list is computed, not measured: it uses a DFT-relaxed cell (PBE, Alexandria) and copper Kα.
Peak positions follow from Bragg's law for the DFT cell and can differ from measured ones.

Crystal structure
```
data_LiPr6Zn
_cell_length_a 5.2701
_cell_length_b 5.2701
_cell_length_c 18.0721
_cell_angle_alpha 90.00
_cell_angle_beta 90.00
_cell_angle_gamma 90.00
_symmetry_space_group_name_H-M 'I 4/m m m'
_symmetry_Int_Tables_number 139
_symmetry_space_group_name_Hall '-I 4 2'
loop_
_atom_site_label
_atom_site_type_symbol
_atom_site_fract_x
_atom_site_fract_y
_atom_site_fract_z
Li1 Li 0.0000 0.0000 0.0000
Pr1 Pr 0.0000 0.0000 0.2494
Pr2 Pr 0.0000 0.5000 0.1057
Zn1 Zn 0.0000 0.0000 0.5000
```

Peak list (10 most intense, 2θ from 10° to 80°, by angle)
- 25.86°, I = 25, hkl 1 1 2
- 29.66°, I = 13, hkl 0 0 6
- 31.11°, I = 100, hkl 1 1 4
- 34.02°, I = 46, hkl 2 0 0
- 45.75°, I = 16, hkl 2 0 6
- 48.88°, I = 16, hkl 2 2 0
- 53.42°, I = 14, hkl 2 0 8
- 56.60°, I = 13, hkl 1 1 10
- 59.08°, I = 32, hkl 3 1 4
- 77.99°, I = 11, hkl 3 1 10

---

No. 5
Diffraction record for Li5PrZn2. The powder diffraction line list is computed, not measured: it uses a DFT-relaxed cell (PBE, Alexandria) and copper Kα.
Peak positions follow from Bragg's law for the DFT cell and can differ from measured ones.

Crystal structure
```
data_Li5PrZn2
_cell_length_a 3.9333
_cell_length_b 8.3093
_cell_length_c 10.1690
_cell_angle_alpha 90.00
_cell_angle_beta 90.00
_cell_angle_gamma 90.00
_symmetry_space_group_name_H-M 'I m m m'
_symmetry_Int_Tables_number 71
_symmetry_space_group_name_Hall '-I 2 2'
loop_
_atom_site_label
_atom_site_type_symbol
_atom_site_fract_x
_atom_site_fract_y
_atom_site_fract_z
Li1 Li 0.0000 0.0000 0.0000
Li2 Li 0.0000 0.3119 0.3455
Pr1 Pr 0.0000 0.5000 0.0000
Zn1 Zn 0.0000 0.0000 0.2635
```

Peak list (10 most intense, 2θ from 10° to 80°, by angle)
- 13.76°, I = 91, hkl 0 1 1
- 21.39°, I = 62, hkl 0 2 0
- 24.26°, I = 18, hkl 1 0 1
- 30.69°, I = 100, hkl 1 1 2
- 32.56°, I = 23, hkl 1 2 1
- 34.94°, I = 19, hkl 1 0 3
- 35.30°, I = 16, hkl 0 0 4
- 41.34°, I = 17, hkl 1 2 3
- 41.65°, I = 24, hkl 0 2 4
- 43.76°, I = 40, hkl 1 3 2

---

No. 6
Diffraction record for LiPrZn11. The powder diffraction line list is computed, not measured: it uses a DFT-relaxed cell (PBE, Alexandria) and copper Kα.
Peak positions follow from Bragg's law for the DFT cell and can differ from measured ones.

Crystal structure
```
data_LiPrZn11
_cell_length_a 5.2439
_cell_length_b 12.6366
_cell_length_c 6.8614
_cell_angle_alpha 90.00
_cell_angle_beta 112.35
_cell_angle_gamma 90.00
_symmetry_space_group_name_H-M 'C 1 2/m 1'
_symmetry_Int_Tables_number 12
loop_
_symmetry_equiv_pos_as_xyz
'x,y,z'
'-x,-y,-z'
'-x,y,-z'
'x,-y,z'
'x+1/2,y+1/2,z'
'-x+1/2,-y+1/2,-z'
'-x+1/2,y+1/2,-z'
'x+1/2,-y+1/2,z'
loop_
_atom_site_label
_atom_site_type_symbol
_atom_site_fract_x
_atom_site_fract_y
_atom_site_fract_z
Li1 Li 0.0000 0.0000 0.0000
Pr1 Pr 0.0000 0.5000 0.5000
Zn1 Zn 0.0000 0.5000 0.0000
Zn2 Zn 0.1106 0.1105 0.7252
Zn3 Zn 0.1882 0.3230 0.8564
Zn4 Zn 0.2500 0.2500 0.5000
```

Peak list (10 most intense, 2θ from 10° to 80°, by angle)
- 28.04°, I = 30, hkl 1 3 0
- 34.20°, I = 24, hkl 2 0 -1
- 34.58°, I = 47, hkl 1 3 -2
- 39.84°, I = 59, hkl 2 2 0
- 40.09°, I = 51, hkl 1 1 2
- 40.26°, I = 100, hkl 0 4 2
- 44.85°, I = 16, hkl 2 0 -3
- 44.93°, I = 16, hkl 2 4 -1
- 45.19°, I = 20, hkl 1 5 1
- 65.32°, I = 18, hkl 3 5 -2

---

No. 7
Diffraction record for Li3PrZn9. The powder diffraction line list is computed, not measured: it uses a DFT-relaxed cell (PBE, Alexandria) and copper Kα.
Peak positions follow from Bragg's law for the DFT cell and can differ from measured ones.

Crystal structure
```
data_Li3PrZn9
_cell_length_a 4.8984
_cell_length_b 13.0510
_cell_length_c 6.9194
_cell_angle_alpha 90.00
_cell_angle_beta 109.62
_cell_angle_gamma 90.00
_symmetry_space_group_name_H-M 'C 1 2/m 1'
_symmetry_Int_Tables_number 12
loop_
_symmetry_equiv_pos_as_xyz
'x,y,z'
'-x,-y,-z'
'-x,y,-z'
'x,-y,z'
'x+1/2,y+1/2,z'
'-x+1/2,-y+1/2,-z'
'-x+1/2,y+1/2,-z'
'x+1/2,-y+1/2,z'
loop_
_atom_site_label
_atom_site_type_symbol
_atom_site_fract_x
_atom_site_fract_y
_atom_site_fract_z
Li1 Li 0.0000 0.0000 0.0000
Li2 Li 0.2500 0.2500 0.5000
Pr1 Pr 0.0000 0.0000 0.5000
Zn1 Zn 0.0000 0.5000 0.0000
Zn2 Zn 0.1068 0.3868 0.7221
Zn3 Zn 0.1626 0.1784 0.8543
```

Peak list (10 most intense, 2θ from 10° to 80°, by angle)
- 19.25°, I = 67, hkl 0 2 1
- 28.37°, I = 45, hkl 1 3 -1
- 34.22°, I = 94, hkl 1 3 1
- 36.70°, I = 88, hkl 2 0 -1
- 39.06°, I = 100, hkl 0 4 2
- 39.45°, I = 50, hkl 1 1 2
- 39.67°, I = 57, hkl 1 5 0
- 39.80°, I = 85, hkl 1 5 -1
- 40.09°, I = 92, hkl 1 1 -3
- 41.52°, I = 58, hkl 0 6 0

---

No. 8
Diffraction record for Li6PrZn2. The powder diffraction line list is computed, not measured: it uses a DFT-relaxed cell (PBE, Alexandria) and copper Kα.
Peak positions follow from Bragg's law for the DFT cell and can differ from measured ones.

Crystal structure
```
data_Li6PrZn2
_cell_length_a 4.1130
_cell_length_b 4.1130
_cell_length_c 10.8993
_cell_angle_alpha 90.00
_cell_angle_beta 90.00
_cell_angle_gamma 90.00
_symmetry_space_group_name_H-M 'P 4/m m m'
_symmetry_Int_Tables_number 123
_symmetry_space_group_name_Hall '-P 4 2'
loop_
_atom_site_label
_atom_site_type_symbol
_atom_site_fract_x
_atom_site_fract_y
_atom_site_fract_z
Li1 Li 0.0000 0.0000 0.0000
Li2 Li 0.0000 0.5000 0.2128
Li3 Li 0.5000 0.5000 0.0000
Pr1 Pr 0.0000 0.0000 0.5000
Zn1 Zn 0.5000 0.5000 0.3753
```

Peak list (10 most intense, 2θ from 10° to 80°, by angle)
- 16.26°, I = 40, hkl 0 0 2
- 27.16°, I = 53, hkl 1 0 2
- 30.74°, I = 73, hkl 1 1 0
- 31.85°, I = 100, hkl 1 1 1
- 32.89°, I = 96, hkl 1 0 3
- 34.97°, I = 40, hkl 1 1 2
- 39.68°, I = 79, hkl 1 0 4
- 47.20°, I = 45, hkl 1 0 5
- 56.04°, I = 41, hkl 2 1 3
- 60.75°, I = 43, hkl 2 1 4

---

No. 9
Diffraction record for Li4PrZn12. The powder diffraction line list is computed, not measured: it uses a DFT-relaxed cell (PBE, Alexandria) and copper Kα.
Peak positions follow from Bragg's law for the DFT cell and can differ from measured ones.

Crystal structure
```
data_Li4PrZn12
_cell_length_a 8.6772
_cell_length_b 8.6772
_cell_length_c 8.6772
_cell_angle_alpha 90.00
_cell_angle_beta 90.00
_cell_angle_gamma 90.00
_symmetry_space_group_name_H-M 'I m -3'
_symmetry_Int_Tables_number 204
_symmetry_space_group_name_Hall '-I 2 2 3'
loop_
_atom_site_label
_atom_site_type_symbol
_atom_site_fract_x
_atom_site_fract_y
_atom_site_fract_z
Li1 Li 0.2500 0.2500 0.2500
Pr1 Pr 0.0000 0.0000 0.0000
Zn1 Zn 0.0000 0.1502 0.3551
```

Peak list (10 most intense, 2θ from 10° to 80°, by angle)
- 20.47°, I = 17, hkl 2 0 0
- 32.63°, I = 100, hkl 3 1 0
- 38.83°, I = 45, hkl 3 2 1
- 51.60°, I = 10, hkl 4 2 2
- 53.87°, I = 42, hkl 4 1 3
- 62.40°, I = 4, hkl 5 0 3
- 64.43°, I = 18, hkl 6 0 0
- 74.11°, I = 12, hkl 6 3 1
- 75.98°, I = 5, hkl 4 4 4
- 77.84°, I = 4, hkl 5 3 4

---

No. 10
Diffraction record for Li3Pt. The powder diffraction line list is computed, not measured: it uses a DFT-relaxed cell (PBE, Alexandria) and copper Kα.
Peak positions follow from Bragg's law for the DFT cell and can differ from measured ones.

Crystal structure
```
data_Li3Pt
_cell_length_a 8.9918
_cell_length_b 2.8737
_cell_length_c 4.5682
_cell_angle_alpha 90.00
_cell_angle_beta 103.60
_cell_angle_gamma 90.00
_symmetry_space_group_name_H-M 'C 1 2/m 1'
_symmetry_Int_Tables_number 12
loop_
_symmetry_equiv_pos_as_xyz
'x,y,z'
'-x,-y,-z'
'-x,y,-z'
'x,-y,z'
'x+1/2,y+1/2,z'
'-x+1/2,-y+1/2,-z'
'-x+1/2,y+1/2,-z'
'x+1/2,-y+1/2,z'
loop_
_atom_site_label
_atom_site_type_symbol
_atom_site_fract_x
_atom_site_fract_y
_atom_site_fract_z
Li1 Li 0.0000 0.0000 0.0000
Li2 Li 0.2422 0.0000 0.7269
Pt1 Pt 0.0000 0.5000 0.5000
```

Peak list (10 most intense, 2θ from 10° to 80°, by angle)
- 20.00°, I = 100, hkl 0 0 1
- 20.32°, I = 95, hkl 2 0 0
- 25.00°, I = 58, hkl 2 0 -1
- 31.94°, I = 30, hkl 2 0 1
- 32.81°, I = 58, hkl 1 1 0
- 37.38°, I = 41, hkl 1 1 -1
- 40.02°, I = 42, hkl 1 1 1
- 41.04°, I = 20, hkl 2 0 -2
- 44.27°, I = 26, hkl 3 1 0
- 45.66°, I = 29, hkl 3 1 -1

---

No. 11
Diffraction record for Li3Pt13. The powder diffraction line list is computed, not measured: it uses a DFT-relaxed cell (PBE, Alexandria) and copper Kα.
Peak positions follow from Bragg's law for the DFT cell and can differ from measured ones.

Crystal structure
```
data_Li3Pt13
_cell_length_a 7.8678
_cell_length_b 7.8947
_cell_length_c 7.7528
_cell_angle_alpha 90.00
_cell_angle_beta 90.00
_cell_angle_gamma 90.00
_symmetry_space_group_name_H-M 'A m m 2'
_symmetry_Int_Tables_number 38
loop_
_symmetry_equiv_pos_as_xyz
'x,y,z'
'-x,-y,z'
'-x,y,z'
'x,-y,z'
'x,y+1/2,z+1/2'
'-x,-y+1/2,z+1/2'
'-x,y+1/2,z+1/2'
'x,-y+1/2,z+1/2'
loop_
_atom_site_label
_atom_site_type_symbol
_atom_site_fract_x
_atom_site_fract_y
_atom_site_fract_z
Li1 Li 0.0000 0.0000 0.0000
Li2 Li 0.2518 0.0000 0.2469
Pt1 Pt 0.0000 0.0000 0.4883
Pt2 Pt 0.0000 0.2479 0.7468
Pt3 Pt 0.2455 0.0000 0.7556
Pt4 Pt 0.2478 0.2470 0.4985
Pt5 Pt 0.5000 0.0000 0.0055
Pt6 Pt 0.5000 0.0000 0.4884
Pt7 Pt 0.5000 0.2467 0.7477
```

Peak list (10 most intense, 2θ from 10° to 80°, by angle)
- 16.02°, I = 12, hkl 0 1 1
- 22.53°, I = 6, hkl 0 2 0
- 27.83°, I = 8, hkl 2 1 1
- 39.84°, I = 100, hkl 2 2 2
- 45.98°, I = 17, hkl 0 4 0
- 46.15°, I = 17, hkl 4 0 0
- 46.88°, I = 16, hkl 0 0 4
- 67.19°, I = 11, hkl 4 4 0
- 67.76°, I = 11, hkl 0 4 4
- 67.89°, I = 10, hkl 4 0 4

---

No. 12
Diffraction record for Li3Pt5. The powder diffraction line list is computed, not measured: it uses a DFT-relaxed cell (PBE, Alexandria) and copper Kα.
Peak positions follow from Bragg's law for the DFT cell and can differ from measured ones.

Crystal structure
```
data_Li3Pt5
_cell_length_a 5.4771
_cell_length_b 5.4771
_cell_length_c 13.3983
_cell_angle_alpha 90.00
_cell_angle_beta 90.00
_cell_angle_gamma 120.00
_symmetry_space_group_name_H-M 'R -3 m'
_symmetry_Int_Tables_number 166
_symmetry_space_group_name_Hall '-R 3 2"'
loop_
_atom_site_label
_atom_site_type_symbol
_atom_site_fract_x
_atom_site_fract_y
_atom_site_fract_z
Li1 Li 0.0000 0.5000 0.0000
Pt1 Pt 0.0000 0.0000 0.0000
Pt2 Pt 0.0000 0.0000 0.5000
Pt3 Pt 0.0000 0.5000 0.5000
```

Peak list (10 most intense, 2θ from 10° to 80°, by angle)
- 19.87°, I = 66, hkl 0 0 3
- 22.97°, I = 12, hkl 0 1 2
- 32.72°, I = 10, hkl 1 1 0
- 38.56°, I = 37, hkl 0 2 1
- 40.35°, I = 100, hkl 2 0 2
- 46.94°, I = 49, hkl 0 2 4
- 51.45°, I = 17, hkl 2 0 5
- 62.34°, I = 12, hkl 0 2 7
- 68.56°, I = 32, hkl 2 2 0
- 72.16°, I = 12, hkl 2 2 3

---

No. 13
Diffraction record for LiPt5. The powder diffraction line list is computed, not measured: it uses a DFT-relaxed cell (PBE, Alexandria) and copper Kα.
Peak positions follow from Bragg's law for the DFT cell and can differ from measured ones.

Crystal structure
```
data_LiPt5
_cell_length_a 10.3153
_cell_length_b 2.7214
_cell_length_c 6.7406
_cell_angle_alpha 90.00
_cell_angle_beta 106.03
_cell_angle_gamma 90.00
_symmetry_space_group_name_H-M 'C 1 m 1'
_symmetry_Int_Tables_number 8
loop_
_symmetry_equiv_pos_as_xyz
'x,y,z'
'x,-y,z'
'x+1/2,y+1/2,z'
'x+1/2,-y+1/2,z'
loop_
_atom_site_label
_atom_site_type_symbol
_atom_site_fract_x
_atom_site_fract_y
_atom_site_fract_z
Li1 Li 0.0000 0.0000 0.0000
Pt1 Pt 0.0592 0.0000 0.6273
Pt2 Pt 0.1602 0.5000 0.3181
Pt3 Pt 0.2302 0.5000 0.9609
Pt4 Pt 0.3345 0.0000 0.6775
Pt5 Pt 0.3948 0.0000 0.2883
```

Peak list (10 most intense, 2θ from 10° to 80°, by angle)
- 13.67°, I = 29, hkl 0 0 1
- 37.92°, I = 70, hkl 1 1 1
- 39.20°, I = 92, hkl 4 0 -2
- 41.83°, I = 66, hkl 0 0 3
- 42.50°, I = 64, hkl 4 0 1
- 42.73°, I = 100, hkl 1 1 -2
- 43.06°, I = 98, hkl 3 1 0
- 55.41°, I = 23, hkl 3 1 -3
- 55.95°, I = 23, hkl 5 1 -1
- 67.43°, I = 35, hkl 3 1 3